(1)
Starting from a GGA-PBE-relaxed structure, the powder diffractogram of Cu13Ag7 was simulated for Cu Kα (weighted mean of Kα1 and Kα2).

Largest 6 diffraction maxima, low angle first, 10 to 90 degrees two-theta:
two_theta	d [Å]	I_rel
41.0	2.203	51
41.0	2.200	100
41.1	2.195	49
47.7	1.908	30
47.8	1.903	63
69.9	1.346	26

Structural model:
a b c (Å): 6.016 7.133 12.923
angles (deg): 85.31 89.81 89.91
Fractional coordinates of all 40 atoms:
Cu  0.000  0.000  0.000
Cu  0.001  0.253  0.267
Cu  0.006  0.763  0.754
Cu  0.090  0.870  0.566
Cu  0.097  0.095  0.810
Cu  0.102  0.617  0.312
Cu  0.183  0.203  0.620
Cu  0.187  0.965  0.360
Cu  0.202  0.446  0.855
Cu  0.277  0.304  0.414
Cu  0.282  0.569  0.665
Cu  0.306  0.811  0.901
Cu  0.312  0.051  0.158
Cu  0.388  0.141  0.955
Cu  0.389  0.911  0.711
Cu  0.474  0.238  0.764
Cu  0.491  0.500  0.000
Cu  0.492  0.765  0.259
Cu  0.603  0.872  0.048
Cu  0.678  0.202  0.103
Cu  0.689  0.954  0.852
Cu  0.711  0.726  0.612
Cu  0.803  0.058  0.669
Cu  0.819  0.814  0.415
Cu  0.912  0.148  0.468
Cu  0.915  0.403  0.716
Ag  0.003  0.510  0.518
Ag  0.098  0.335  0.058
Ag  0.220  0.714  0.101
Ag  0.386  0.403  0.214
Ag  0.400  0.672  0.459
Ag  0.496  0.018  0.519
Ag  0.588  0.367  0.577
Ag  0.591  0.604  0.799
Ag  0.597  0.099  0.314
Ag  0.707  0.459  0.364
Ag  0.787  0.289  0.905
Ag  0.791  0.555  0.155
Ag  0.902  0.661  0.949
Ag  0.903  0.916  0.204


(2)
Starting from a GGA-PBE-relaxed structure, the powder diffractogram of Cu3Ag37 was simulated for Cu Kα (weighted mean of Kα1 and Kα2).

Largest 6 diffraction maxima, low angle first, 10 to 90 degrees two-theta:
two_theta	d [Å]	I_rel
37.8	2.381	100
43.9	2.064	32
44.0	2.059	16
63.8	1.458	25
76.6	1.244	23
80.7	1.191	7

Structural model:
a b c (Å): 6.512 10.512 11.303
angles (deg): 79.76 73.30 72.03
Fractional coordinates of all 40 atoms:
Cu  0.000  0.000  0.000
Cu  0.052  0.241  0.049
Cu  0.875  0.872  0.374
Ag  0.022  0.625  0.522
Ag  0.073  0.871  0.573
Ag  0.100  0.493  0.099
Ag  0.127  0.121  0.623
Ag  0.142  0.751  0.150
Ag  0.176  0.371  0.674
Ag  0.194  0.998  0.195
Ag  0.226  0.621  0.725
Ag  0.251  0.244  0.245
Ag  0.271  0.873  0.777
Ag  0.301  0.496  0.298
Ag  0.317  0.120  0.831
Ag  0.341  0.751  0.348
Ag  0.373  0.367  0.878
Ag  0.410  0.995  0.397
Ag  0.425  0.619  0.926
Ag  0.453  0.246  0.447
Ag  0.467  0.871  0.976
Ag  0.501  0.498  0.498
Ag  0.526  0.120  0.025
Ag  0.553  0.749  0.548
Ag  0.583  0.369  0.075
Ag  0.603  0.995  0.599
Ag  0.624  0.623  0.125
Ag  0.650  0.245  0.651
Ag  0.679  0.875  0.174
Ag  0.701  0.494  0.701
Ag  0.737  0.119  0.219
Ag  0.749  0.745  0.752
Ag  0.781  0.369  0.271
Ag  0.801  0.996  0.803
Ag  0.824  0.626  0.324
Ag  0.856  0.241  0.856
Ag  0.904  0.492  0.902
Ag  0.927  0.116  0.423
Ag  0.950  0.750  0.952
Ag  0.975  0.371  0.472


(3)
Starting from a GGA-PBE-relaxed structure, the powder diffractogram of Cu3Ag7 was simulated for Cu Kα (weighted mean of Kα1 and Kα2).

Largest 6 diffraction maxima, low angle first, 10 to 90 degrees two-theta:
two_theta	d [Å]	I_rel
38.9	2.317	100
39.0	2.310	88
44.9	2.018	58
45.9	1.976	30
66.2	1.412	34
80.3	1.196	21

Structural model:
a b c (Å): 2.860 3.953 14.236
angles (deg): 90.00 90.00 90.00
Fractional coordinates of all 10 atoms:
Cu  0.000  0.000  0.000
Cu  0.000  0.000  0.186
Cu  0.500  0.500  0.278
Ag  0.000  0.000  0.369
Ag  0.000  0.000  0.583
Ag  0.000  0.000  0.797
Ag  0.500  0.500  0.096
Ag  0.500  0.500  0.476
Ag  0.500  0.500  0.690
Ag  0.500  0.500  0.902